No. 1
Structure and simulated XRD peak list of In2Bi2PdAu7 (a cell relaxed with GGA-PBE; a wavelength of 1.5418 Å).
No peak broadening, texture or thermal motion is included.

Atomic structure:
```
data_In2Bi2PdAu7
_chemical_formula_sum 'In4 Bi4 Pd2 Au14'
_space_group_name_H-M_alt 'C 1 2/m 1'
_space_group_IT_number 12
_cell_length_a 5.879
_cell_length_b 5.834
_cell_length_c 15.604
_cell_angle_alpha 90.00
_cell_angle_beta 95.04
_cell_angle_gamma 90.00
loop_
_space_group_symop_operation_xyz
'x,y,z'
'-x,-y,-z'
'-x,y,-z'
'x,-y,z'
'x+1/2,y+1/2,z'
'-x+1/2,-y+1/2,-z'
'-x+1/2,y+1/2,-z'
'x+1/2,-y+1/2,z'
loop_
_atom_site_label
_atom_site_fract_x
_atom_site_fract_y
_atom_site_fract_z
In1 0.061 0.000 0.259
Bi1 0.135 0.500 0.389
Pd1 0.000 0.500 0.000
Au1 0.000 0.000 0.000
Au2 0.163 0.000 0.436
Au3 0.220 0.250 0.866
```

Principal peaks in the range 2θ = 10–90°, sorted by position:
| two_theta | intensity | (hkl) |
| --- | --- | --- |
| 11.4 | 34.2 | 0 0 2 |
| 31.2 | 51.3 | 0 2 1 |
| 32.6 | 31.2 | 1 1 4 |
| 33.8 | 43.6 | 2 0 -3 |
| 35.3 | 48.8 | 0 2 3 |
| 38.6 | 28.4 | 0 2 4 |
| 40.2 | 42.1 | 2 0 4 |
| 40.6 | 31.1 | 0 0 7 |
| 42.5 | 37.9 | 0 2 5 |
| 43.8 | 100.0 | 2 2 -1 |

---

No. 2
Structure and simulated XRD peak list of CsErMn2S4 (a cell relaxed with GGA-PBE; a wavelength of 1.5418 Å).
No peak broadening, texture or thermal motion is included.

Atomic structure:
```
data_CsErMn2S4
_chemical_formula_sum 'Cs2 Er2 Mn4 S8'
_space_group_name_H-M_alt 'I 2 2 2'
_space_group_IT_number 23
_cell_length_a 6.588
_cell_length_b 8.407
_cell_length_c 9.183
_cell_angle_alpha 90.00
_cell_angle_beta 90.00
_cell_angle_gamma 90.00
loop_
_space_group_symop_operation_xyz
'x,y,z'
'-x,-y,z'
'x,-y,-z'
'-x,y,-z'
'x+1/2,y+1/2,z+1/2'
'-x+1/2,-y+1/2,z+1/2'
'x+1/2,-y+1/2,-z+1/2'
'-x+1/2,y+1/2,-z+1/2'
loop_
_atom_site_label
_atom_site_fract_x
_atom_site_fract_y
_atom_site_fract_z
Cs1 0.000 0.000 0.000
Er1 0.000 0.000 0.500
Mn1 0.000 0.500 0.106
S1 0.249 0.154 0.329
```

Principal peaks in the range 2θ = 10–90°, sorted by position:
| two_theta | intensity | (hkl) |
| --- | --- | --- |
| 14.3 | 69.5 | 0 1 1 |
| 17.1 | 53.4 | 1 1 0 |
| 19.3 | 37.7 | 0 0 2 |
| 21.1 | 66.1 | 0 2 0 |
| 25.9 | 100.0 | 1 1 2 |
| 28.8 | 57.8 | 0 2 2 |
| 33.5 | 50.9 | 2 0 2 |
| 34.6 | 60.4 | 2 2 0 |
| 39.9 | 34.7 | 2 2 2 |
| 43.1 | 59.2 | 1 1 4 |

---

No. 3
Structure and simulated XRD peak list of Dy2Er5Sc3 (a cell relaxed with GGA-PBE; a wavelength of 1.5418 Å).
No peak broadening, texture or thermal motion is included.

Atomic structure:
```
data_Dy2Er5Sc3
_chemical_formula_sum 'Dy8 Er20 Sc12'
_space_group_name_H-M_alt 'C 1 2/c 1'
_space_group_IT_number 15
_cell_length_a 10.586
_cell_length_b 14.041
_cell_length_c 9.218
_cell_angle_alpha 90.00
_cell_angle_beta 117.77
_cell_angle_gamma 90.00
loop_
_space_group_symop_operation_xyz
'x,y,z'
'-x,-y,-z'
'-x,y,-z+1/2'
'x,-y,z+1/2'
'x+1/2,y+1/2,z'
'-x+1/2,-y+1/2,-z'
'-x+1/2,y+1/2,-z+1/2'
'x+1/2,-y+1/2,z+1/2'
loop_
_atom_site_label
_atom_site_fract_x
_atom_site_fract_y
_atom_site_fract_z
Dy1 0.174 0.130 0.044
Er1 0.000 0.036 0.250
Er2 0.000 0.253 0.250
Er3 0.000 0.498 0.750
Er4 0.199 0.123 0.673
Sc1 0.000 0.275 0.750
Sc2 0.171 0.368 0.582
```

Principal peaks in the range 2θ = 10–90°, sorted by position:
| two_theta | intensity | (hkl) |
| --- | --- | --- |
| 20.3 | 26.0 | 1 1 -2 |
| 21.8 | 26.1 | 0 0 2 |
| 29.0 | 30.2 | 2 2 1 |
| 30.3 | 25.5 | 1 1 -3 |
| 31.9 | 100.0 | 2 4 0 |
| 32.0 | 48.3 | 2 2 -3 |
| 33.3 | 68.4 | 2 4 -2 |
| 33.7 | 50.6 | 0 4 2 |
| 34.1 | 63.5 | 4 0 -2 |
| 35.3 | 36.0 | 2 0 2 |

---

No. 4
Structure and simulated XRD peak list of BaSc2Sb2O (a cell relaxed with GGA-PBE; a wavelength of 1.5418 Å).
No peak broadening, texture or thermal motion is included.

Atomic structure:
```
data_BaSc2Sb2O
_chemical_formula_sum 'Ba1 Sc2 Sb2 O1'
_space_group_name_H-M_alt 'P 4/m m m'
_space_group_IT_number 123
_space_group_name_Hall '-P 4 2'
_cell_length_a 4.400
_cell_length_b 4.400
_cell_length_c 7.861
_cell_angle_alpha 90.00
_cell_angle_beta 90.00
_cell_angle_gamma 90.00
loop_
_atom_site_label
_atom_site_fract_x
_atom_site_fract_y
_atom_site_fract_z
Ba1 0.000 0.000 0.000
Sc1 0.000 0.500 0.500
Sb1 0.500 0.500 0.240
O1 0.000 0.000 0.500
```

Principal peaks in the range 2θ = 10–90°, sorted by position:
| two_theta | intensity | (hkl) |
| --- | --- | --- |
| 23.2 | 12.9 | 1 0 1 |
| 28.7 | 34.8 | 1 1 0 |
| 30.5 | 100.0 | 1 0 2 |
| 30.9 | 30.7 | 1 1 1 |
| 36.8 | 13.0 | 1 1 2 |
| 41.0 | 33.3 | 2 0 0 |
| 46.2 | 13.2 | 0 0 4 |
| 52.0 | 43.3 | 2 1 2 |
| 63.5 | 17.3 | 2 0 4 |
| 82.8 | 11.1 | 3 2 2 |

---

No. 5
Structure and simulated XRD peak list of CeNd8Ho4 (a cell relaxed with GGA-PBE; a wavelength of 1.5418 Å).
No peak broadening, texture or thermal motion is included.

Atomic structure:
```
data_CeNd8Ho4
_chemical_formula_sum 'Ce3 Nd24 Ho12'
_space_group_name_H-M_alt 'R -3 m'
_space_group_IT_number 166
_space_group_name_Hall '-R 3 2"'
_cell_length_a 7.4068
_cell_length_b 7.4068
_cell_length_c 27.6169
_cell_angle_alpha 90.00
_cell_angle_beta 90.00
_cell_angle_gamma 120.00
loop_
_atom_site_label
_atom_site_fract_x
_atom_site_fract_y
_atom_site_fract_z
Ce1 0.0000 0.0000 0.0000
Nd1 0.0000 0.0000 0.2790
Nd2 0.0274 0.5137 0.2691
Ho1 0.0000 0.0000 0.5000
Ho2 0.0000 0.5000 0.5000
```

Principal peaks in the range 2θ = 10–90°, sorted by position:
| two_theta | intensity | (hkl) |
| --- | --- | --- |
| 28.0 | 18.3 | 0 2 1 |
| 29.1 | 30.6 | 0 0 9 |
| 30.7 | 100.0 | 0 2 4 |
| 32.3 | 42.2 | 2 0 5 |
| 38.3 | 30.8 | 2 0 8 |
| 49.2 | 30.9 | 2 2 0 |
| 51.6 | 18.5 | 0 2 13 |
| 58.2 | 24.0 | 2 2 9 |
| 59.1 | 14.6 | 4 0 4 |
| 80.4 | 11.0 | 2 4 4 |

---

No. 6
Structure and simulated XRD peak list of SrPm2TeO8 (a cell relaxed with GGA-PBE; a wavelength of 1.5418 Å).
No peak broadening, texture or thermal motion is included.

Atomic structure:
```
data_SrPm2TeO8
_chemical_formula_sum 'Sr1 Pm2 Te1 O8'
_space_group_name_H-M_alt 'P -1'
_space_group_IT_number 2
_cell_length_a 4.450
_cell_length_b 5.236
_cell_length_c 7.536
_cell_angle_alpha 90.06
_cell_angle_beta 90.06
_cell_angle_gamma 93.48
loop_
_space_group_symop_operation_xyz
'x,y,z'
'-x,-y,-z'
loop_
_atom_site_label
_atom_site_fract_x
_atom_site_fract_y
_atom_site_fract_z
Sr1 0.000 0.000 0.000
Pm1 0.499 0.499 0.744
Te1 0.000 0.000 0.500
O1 0.071 0.757 0.308
O2 0.072 0.759 0.692
O3 0.397 0.184 0.499
O4 0.489 0.260 0.000
```

Principal peaks in the range 2θ = 10–90°, sorted by position:
| two_theta | intensity | (hkl) |
| --- | --- | --- |
| 25.5 | 64.3 | 1 -1 0 |
| 27.1 | 59.3 | 1 1 0 |
| 29.2 | 100.0 | 0 1 2 |
| 31.1 | 50.5 | 1 0 2 |
| 40.6 | 26.6 | 2 0 0 |
| 46.0 | 39.8 | 1 -2 2 |
| 48.0 | 31.7 | 1 2 2 |
| 49.9 | 22.1 | -2 1 2 |
| 51.7 | 19.2 | 2 1 -2 |
| 55.4 | 24.9 | 1 -3 0 |

---

No. 7
Structure and simulated XRD peak list of LaCe4Si10Ru10 (a cell relaxed with GGA-PBE; a wavelength of 1.5418 Å).
No peak broadening, texture or thermal motion is included.

Atomic structure:
```
data_LaCe4Si10Ru10
_chemical_formula_sum 'La2 Ce8 Si20 Ru20'
_space_group_name_H-M_alt 'I 4/m m m'
_space_group_IT_number 139
_space_group_name_Hall '-I 4 2'
_cell_length_a 4.211
_cell_length_b 4.211
_cell_length_c 48.837
_cell_angle_alpha 90.00
_cell_angle_beta 90.00
_cell_angle_gamma 90.00
loop_
_atom_site_label
_atom_site_fract_x
_atom_site_fract_y
_atom_site_fract_z
La1 0.000 0.000 0.000
Ce1 0.000 0.000 0.200
Ce2 0.000 0.000 0.399
Si1 0.000 0.000 0.075
Si2 0.000 0.000 0.127
Si3 0.000 0.000 0.273
Si4 0.000 0.000 0.326
Si5 0.000 0.000 0.472
Ru1 0.000 0.500 0.052
Ru2 0.000 0.500 0.151
Ru3 0.000 0.500 0.250
```

Principal peaks in the range 2θ = 10–90°, sorted by position:
| two_theta | intensity | (hkl) |
| --- | --- | --- |
| 23.0 | 25.4 | 1 0 5 |
| 34.8 | 30.9 | 1 0 15 |
| 35.3 | 100.0 | 1 1 10 |
| 36.8 | 16.1 | 0 0 20 |
| 43.0 | 40.4 | 2 0 0 |
| 56.4 | 15.2 | 2 1 15 |
| 57.8 | 17.1 | 2 0 20 |
| 62.4 | 13.1 | 2 2 0 |
| 65.3 | 18.0 | 1 1 30 |
| 73.8 | 22.7 | 3 1 10 |

---

No. 8
Structure and simulated XRD peak list of Dy2Er2Tl3 (a cell relaxed with GGA-PBE; a wavelength of 1.5418 Å).
No peak broadening, texture or thermal motion is included.

Atomic structure:
```
data_Dy2Er2Tl3
_chemical_formula_sum 'Dy4 Er4 Tl6'
_space_group_name_H-M_alt 'C 1 2/m 1'
_space_group_IT_number 12
_cell_length_a 13.025
_cell_length_b 3.751
_cell_length_c 8.250
_cell_angle_alpha 90.00
_cell_angle_beta 100.79
_cell_angle_gamma 90.00
loop_
_space_group_symop_operation_xyz
'x,y,z'
'-x,-y,-z'
'-x,y,-z'
'x,-y,z'
'x+1/2,y+1/2,z'
'-x+1/2,-y+1/2,-z'
'-x+1/2,y+1/2,-z'
'x+1/2,-y+1/2,z'
loop_
_atom_site_label
_atom_site_fract_x
_atom_site_fract_y
_atom_site_fract_z
Dy1 0.203 0.000 0.150
Er1 0.068 0.000 0.721
Tl1 0.000 0.500 0.000
Tl2 0.145 0.500 0.454
```

Principal peaks in the range 2θ = 10–90°, sorted by position:
| two_theta | intensity | (hkl) |
| --- | --- | --- |
| 31.9 | 50.9 | 4 0 1 |
| 32.3 | 100.0 | 3 1 -1 |
| 33.5 | 42.2 | 2 0 -3 |
| 34.2 | 84.6 | 1 1 2 |
| 44.1 | 19.8 | 6 0 -2 |
| 48.5 | 16.6 | 0 2 0 |
| 56.0 | 20.3 | 7 1 0 |
| 58.0 | 16.6 | 5 1 -4 |
| 59.3 | 17.8 | 4 2 1 |
| 59.6 | 16.1 | 5 1 3 |

---

No. 9
Structure and simulated XRD peak list of Y3Cu11 (a cell relaxed with GGA-PBE; a wavelength of 1.5418 Å).
No peak broadening, texture or thermal motion is included.

Atomic structure:
```
data_Y3Cu11
_chemical_formula_sum 'Y6 Cu22'
_space_group_name_H-M_alt 'I m m m'
_space_group_IT_number 71
_space_group_name_Hall '-I 2 2'
_cell_length_a 4.171
_cell_length_b 8.755
_cell_length_c 12.220
_cell_angle_alpha 90.00
_cell_angle_beta 90.00
_cell_angle_gamma 90.00
loop_
_atom_site_label
_atom_site_fract_x
_atom_site_fract_y
_atom_site_fract_z
Y1 0.000 0.000 0.000
Y2 0.000 0.000 0.306
Cu1 0.000 0.209 0.500
Cu2 0.000 0.280 0.122
Cu3 0.000 0.356 0.325
Cu4 0.000 0.500 0.000
```

Principal peaks in the range 2θ = 10–90°, sorted by position:
| two_theta | intensity | (hkl) |
| --- | --- | --- |
| 30.7 | 20.5 | 1 0 3 |
| 35.8 | 21.9 | 0 2 4 |
| 37.1 | 100.0 | 1 2 3 |
| 37.6 | 41.1 | 1 3 0 |
| 37.9 | 40.1 | 0 3 3 |
| 40.5 | 32.8 | 1 3 2 |
| 42.9 | 35.2 | 1 0 5 |
| 43.4 | 56.8 | 2 0 0 |
| 44.5 | 19.3 | 0 0 6 |
| 47.9 | 18.9 | 1 2 5 |

---

No. 10
Structure and simulated XRD peak list of AcPu3O8 (a cell relaxed with GGA-PBE; a wavelength of 1.5418 Å).
No peak broadening, texture or thermal motion is included.

Atomic structure:
```
data_AcPu3O8
_chemical_formula_sum 'Ac3 Pu9 O24'
_space_group_name_H-M_alt 'R -3 m'
_space_group_IT_number 166
_space_group_name_Hall '-R 3 2"'
_cell_length_a 6.9272
_cell_length_b 6.9272
_cell_length_c 18.8656
_cell_angle_alpha 90.00
_cell_angle_beta 90.00
_cell_angle_gamma 120.00
loop_
_atom_site_label
_atom_site_fract_x
_atom_site_fract_y
_atom_site_fract_z
Ac1 0.0000 0.0000 0.0000
Pu1 0.0000 0.5000 0.5000
O1 0.0000 0.0000 0.2215
O2 0.0609 0.5305 0.7703
```

Principal peaks in the range 2θ = 10–90°, sorted by position:
| two_theta | intensity | (hkl) |
| --- | --- | --- |
| 14.1 | 51.5 | 0 0 3 |
| 15.5 | 100.0 | 1 0 1 |
| 27.9 | 20.7 | 0 1 5 |
| 28.4 | 23.6 | 0 0 6 |
| 29.4 | 37.3 | 1 1 3 |
| 31.3 | 51.9 | 2 0 2 |
| 35.5 | 60.7 | 0 2 4 |
| 49.1 | 22.1 | 2 0 8 |
| 52.9 | 19.2 | 2 2 0 |
| 61.1 | 19.3 | 2 2 6 |

---

No. 11
Structure and simulated XRD peak list of Ho3TmAl3 (a cell relaxed with GGA-PBE; a wavelength of 1.5418 Å).
No peak broadening, texture or thermal motion is included.

Atomic structure:
```
data_Ho3TmAl3
_chemical_formula_sum 'Ho12 Tm4 Al12'
_space_group_name_H-M_alt 'C m m m'
_space_group_IT_number 65
_space_group_name_Hall '-C 2 2'
_cell_length_a 10.115
_cell_length_b 10.186
_cell_length_c 6.886
_cell_angle_alpha 90.00
_cell_angle_beta 90.00
_cell_angle_gamma 90.00
loop_
_atom_site_label
_atom_site_fract_x
_atom_site_fract_y
_atom_site_fract_z
Ho1 0.000 0.244 0.000
Ho2 0.239 0.000 0.500
Ho3 0.245 0.000 0.000
Tm1 0.000 0.246 0.500
Al1 0.000 0.500 0.255
Al2 0.250 0.250 0.253
```

Principal peaks in the range 2θ = 10–90°, sorted by position:
| two_theta | intensity | (hkl) |
| --- | --- | --- |
| 24.8 | 79.5 | 2 2 0 |
| 25.9 | 36.2 | 0 0 2 |
| 35.2 | 26.8 | 0 4 0 |
| 35.5 | 26.0 | 4 0 0 |
| 36.2 | 100.0 | 2 2 2 |
| 44.2 | 17.4 | 0 4 2 |
| 44.4 | 16.9 | 4 0 2 |
| 50.9 | 18.6 | 4 4 0 |
| 63.8 | 18.9 | 2 6 2 |
| 64.2 | 18.2 | 6 2 2 |

---

No. 12
Structure and simulated XRD peak list of HgHIr (a cell relaxed with GGA-PBE; a wavelength of 1.5418 Å).
No peak broadening, texture or thermal motion is included.

Atomic structure:
```
data_HgHIr
_chemical_formula_sum 'Hg32 H32 Ir32'
_space_group_name_H-M_alt 'I 41/a'
_space_group_IT_number 88
_cell_length_a 14.302
_cell_length_b 14.302
_cell_length_c 7.143
_cell_angle_alpha 90.00
_cell_angle_beta 90.00
_cell_angle_gamma 90.00
loop_
_space_group_symop_operation_xyz
'x,y,z'
'-x,-y,-z'
'-y+3/4,x+1/4,z+1/4'
'y+3/4,-x+1/4,-z+1/4'
'-x+1/2,-y,z+1/2'
'x+1/2,y,-z+1/2'
'y+3/4,-x+3/4,z+3/4'
'-y+3/4,x+3/4,-z+3/4'
'x+1/2,y+1/2,z+1/2'
'-x+1/2,-y+1/2,-z+1/2'
'-y+1/4,x+3/4,z+3/4'
'y+1/4,-x+3/4,-z+3/4'
'-x,-y+1/2,z'
'x,y+1/2,-z'
'y+1/4,-x+1/4,z+1/4'
'-y+1/4,x+1/4,-z+1/4'
loop_
_atom_site_label
_atom_site_fract_x
_atom_site_fract_y
_atom_site_fract_z
Hg1 0.025 0.101 0.087
Hg2 0.027 0.397 0.569
H1 0.092 0.014 0.763
H2 0.126 0.396 0.867
Ir1 0.157 0.040 0.561
Ir2 0.158 0.460 0.065
```

Principal peaks in the range 2θ = 10–90°, sorted by position:
| two_theta | intensity | (hkl) |
| --- | --- | --- |
| 12.4 | 58.6 | 2 0 0 |
| 26.5 | 87.6 | 1 1 2 |
| 27.9 | 82.0 | 2 0 2 |
| 35.5 | 64.4 | 4 4 0 |
| 36.1 | 98.4 | 2 5 1 |
| 37.7 | 100.0 | 6 0 0 |
| 40.4 | 86.8 | 6 1 1 |
| 44.8 | 56.4 | 3 5 2 |
| 46.2 | 53.9 | 1 4 3 |
| 73.1 | 55.7 | 7 3 4 |